Simulated powder diffractogram of Sm2Y4Te9 for Cu Kα (λ = 1.5418 Å), from a crystal structure in Alexandria, relaxed with GGA-PBE.

Atomic structure:
a b c (Å): 7.7531 7.7531 21.2116
angles (deg): 90.00 90.00 120.00
Space group P-3c1 (No. 165)
Symmetry-distinct sites (fractional):
Sm1 0.0000 0.0000 0.1555 x4
Y1 0.3333 0.6667 0.0092 x4
Y2 0.3333 0.6667 0.3234 x4
Te1 0.0000 0.3172 0.2500 x6
Te2 0.0191 0.3593 0.9167 x12

Peak list (10 most intense, 15° ≤ 2θ ≤ 90°, sorted by position)
h k l, Position (°2θ), d (Å), intensity
0 1 2, 15.6, 5.673, 22
1 0 4, 21.4, 4.162, 14
1 1 3, 26.2, 3.399, 100
1 1 6, 34.3, 2.612, 73
3 0 0, 40.3, 2.238, 52
1 1 9, 45.0, 2.014, 23
2 2 3, 48.7, 1.869, 16
2 2 6, 53.9, 1.700, 19
3 0 12, 67.5, 1.387, 17
4 1 6, 69.4, 1.354, 16